Record 1
For Ac4Tl3Sn, a crystal structure in Alexandria, relaxed with PBE gives the theoretical powder XRD pattern in this record (Cu Kα X-rays).
Kinematic intensities with the Lorentz-polarization factor, no thermal factor.

Structural model:
```
8
Lattice="4.684 0.000 0.000 0.000 5.004 0.000 0.000 0.000 12.514" Properties=species:S:1:pos:R:3 pbc="T T T"
Ac 0.000 0.000 0.000
Ac 0.000 2.502 6.244
Ac 2.342 0.000 3.443
Ac 2.342 2.502 9.691
Tl 0.000 0.000 9.006
Tl 0.000 2.502 2.759
Tl 2.342 2.502 0.670
Sn 2.342 0.000 6.967
```

Most intense lines, 2θ = 5–70°, in order of rising 2θ:
2θ 27.03, 3.299 Å, rel. 100.0
2θ 27.85, 3.204 Å, rel. 25.6
2θ 28.53, 3.128 Å, rel. 29.1
2θ 33.90, 2.644 Å, rel. 73.4
2θ 34.47, 2.602 Å, rel. 20.7
2θ 35.89, 2.502 Å, rel. 29.2
2θ 38.44, 2.342 Å, rel. 24.2
2θ 53.60, 1.710 Å, rel. 19.0

Record 2
For Ac8Tl3Sn4, a crystal structure in Alexandria, relaxed with PBE gives the theoretical powder XRD pattern in this record (Cu Kα X-rays).
Kinematic intensities with the Lorentz-polarization factor, no thermal factor.

Structural model:
```
15
Lattice="6.822 -6.838 0.000 6.822 6.838 0.000 -4.993 0.000 6.590" Properties=species:S:1:pos:R:3 pbc="T T T"
Ac 6.822 3.482 0.000
Ac 0.907 0.000 3.240
Ac 3.366 0.000 0.053
Ac 4.326 3.385 3.295
Ac 4.326 -3.385 3.295
Ac 5.286 0.000 6.537
Ac 7.744 0.000 3.349
Ac 6.822 -3.482 0.000
Tl 0.915 3.419 3.295
Tl 0.915 -3.419 3.295
Tl 6.822 0.000 0.000
Sn 0.000 0.000 0.000
Sn 3.411 3.419 0.000
Sn 3.411 -3.419 0.000
Sn 4.326 0.000 3.295
```

Most intense lines, 2θ = 5–70°, in order of rising 2θ:
2θ 26.06, 3.419 Å, rel. 55.0
2θ 27.10, 3.291 Å, rel. 100.0
2θ 32.94, 2.719 Å, rel. 30.5
2θ 37.95, 2.371 Å, rel. 83.4
2θ 42.48, 2.128 Å, rel. 30.7
2θ 43.80, 2.067 Å, rel. 14.0
2θ 51.68, 1.769 Å, rel. 17.6
2θ 61.09, 1.517 Å, rel. 21.3

Record 3
For Ac2Tm2Sn7, a crystal structure in Alexandria, relaxed with PBE gives the theoretical powder XRD pattern in this record (Cu Kα X-rays).
Kinematic intensities with the Lorentz-polarization factor, no thermal factor.

Structural model:
```
11
Lattice="5.228 -5.861 0.000 5.228 5.861 0.000 0.000 0.000 6.185" Properties=species:S:1:pos:R:3 pbc="T T T"
Ac 2.024 0.000 0.000
Ac 8.432 0.000 0.000
Tm 5.228 2.829 3.092
Tm 5.228 -2.829 3.092
Sn 0.000 0.000 3.092
Sn 2.614 2.930 1.514
Sn 2.614 2.930 4.671
Sn 2.614 -2.930 1.514
Sn 2.614 -2.930 4.671
Sn 5.228 0.000 1.525
Sn 5.228 0.000 4.660
```

Most intense lines, 2θ = 5–70°, in order of rising 2θ:
2θ 20.88, 4.254 Å, rel. 53.7
2θ 22.27, 3.993 Å, rel. 72.1
2θ 30.48, 2.933 Å, rel. 92.6
2θ 34.31, 2.614 Å, rel. 29.8
2θ 37.10, 2.423 Å, rel. 100.0
2θ 38.09, 2.362 Å, rel. 54.8
2θ 46.55, 1.951 Å, rel. 28.9
2θ 58.62, 1.575 Å, rel. 26.6